For Rb2TlH6Os, DFT lattice parameters and positions (GGA-PBE) gives the calculated X-ray powder pattern in this record (a wavelength of 1.5418 Å).

```
data_Rb2TlH6Os
_chemical_formula_sum 'Rb2 Tl1 H6 Os1'
_space_group_name_H-M_alt 'P -3 m 1'
_space_group_IT_number 164
_space_group_name_Hall '-P 3 2"'
_cell_length_a 6.1492
_cell_length_b 6.1492
_cell_length_c 5.5164
_cell_angle_alpha 90.00
_cell_angle_beta 90.00
_cell_angle_gamma 120.00
loop_
_atom_site_label
_atom_site_fract_x
_atom_site_fract_y
_atom_site_fract_z
_atom_site_occupancy
Rb1 0.3333 0.6667 0.2069 1
Tl1 0.0000 0.0000 0.5000 1
H1 0.1476 0.2953 0.8644 1
Os1 0.0000 0.0000 0.0000 1
```

Principal peaks in the range 2θ from 5° to 70°, by angle:
| d/Å | two_theta | I_rel | (hkl) |
| --- | --- | --- | --- |
| 5.325 | 16.6 | 100 | 1 0 0 |
| 3.831 | 23.2 | 23 | 1 0 1 |
| 3.075 | 29.0 | 91 | 1 1 0 |
| 2.663 | 33.7 | 17 | 2 0 0 |
| 2.449 | 36.7 | 69 | 0 1 2 |
| 2.013 | 45.0 | 16 | 2 1 0 |
| 1.916 | 47.5 | 34 | 2 0 2 |
| 1.775 | 51.5 | 19 | 3 0 0 |
| 1.626 | 56.6 | 40 | 1 2 2 |
| 1.537 | 60.2 | 12 | 2 2 0 |


For CePrCd6, DFT lattice parameters and positions (GGA-PBE) gives the calculated X-ray powder pattern in this record (a wavelength of 1.5418 Å).

```
data_CePrCd6
_chemical_formula_sum 'Ce2 Pr2 Cd12'
_space_group_name_H-M_alt 'A m m 2'
_space_group_IT_number 38
_space_group_name_Hall 'A 2 -2'
_cell_length_a 4.993
_cell_length_b 7.002
_cell_length_c 11.582
_cell_angle_alpha 90.00
_cell_angle_beta 90.00
_cell_angle_gamma 90.00
loop_
_atom_site_label
_atom_site_fract_x
_atom_site_fract_y
_atom_site_fract_z
_atom_site_occupancy
Ce1 0.000 0.000 0.000 1
Pr1 0.500 0.000 0.306 1
Cd1 0.000 0.000 0.489 1
Cd2 0.000 0.221 0.738 1
Cd3 0.500 0.000 0.821 1
Cd4 0.500 0.226 0.567 1
```

Principal peaks in the range 2θ from 5° to 70°, by angle:
| d/Å | two_theta | I_rel | (hkl) |
| --- | --- | --- | --- |
| 2.996 | 29.8 | 19 | 0 2 2 |
| 2.896 | 30.9 | 16 | 0 0 4 |
| 2.569 | 34.9 | 100 | 1 2 2 |
| 2.505 | 35.8 | 38 | 1 0 4 |
| 2.497 | 36.0 | 30 | 2 0 0 |
| 1.918 | 47.4 | 10 | 2 2 2 |
| 1.690 | 54.3 | 16 | 0 2 6 |
| 1.455 | 64.0 | 16 | 3 2 2 |
| 1.434 | 65.0 | 18 | 2 4 0 |
| 1.400 | 66.8 | 16 | 2 2 6 |


For SrCuNi3, DFT lattice parameters and positions (GGA-PBE) gives the calculated X-ray powder pattern in this record (a wavelength of 1.5418 Å).

```
data_SrCuNi3
_chemical_formula_sum 'Sr1 Cu1 Ni3'
_space_group_name_H-M_alt 'P m -3 m'
_space_group_IT_number 221
_space_group_name_Hall '-P 4 2 3'
_cell_length_a 4.478
_cell_length_b 4.478
_cell_length_c 4.478
_cell_angle_alpha 90.00
_cell_angle_beta 90.00
_cell_angle_gamma 90.00
loop_
_atom_site_label
_atom_site_fract_x
_atom_site_fract_y
_atom_site_fract_z
_atom_site_occupancy
Sr1 0.000 0.000 0.000 1
Cu1 0.500 0.500 0.500 1
Ni1 0.000 0.500 0.500 1
```

Principal peaks in the range 2θ from 5° to 70°, by angle:
| d/Å | two_theta | I_rel | (hkl) |
| --- | --- | --- | --- |
| 4.478 | 19.8 | 11 | 1 0 0 |
| 3.166 | 28.2 | 36 | 1 1 0 |
| 2.585 | 34.7 | 75 | 1 1 1 |
| 2.239 | 40.3 | 100 | 2 0 0 |
| 2.002 | 45.3 | 5 | 2 1 0 |
| 1.828 | 49.9 | 15 | 2 1 1 |
| 1.583 | 58.3 | 64 | 2 2 0 |
| 1.493 | 62.2 | 2 | 3 0 0 |
| 1.416 | 66.0 | 6 | 3 1 0 |
| 1.350 | 69.6 | 27 | 3 1 1 |


For Tm3NiHg, DFT lattice parameters and positions (GGA-PBE) gives the calculated X-ray powder pattern in this record (a wavelength of 1.5418 Å).

```
data_Tm3NiHg
_chemical_formula_sum 'Tm6 Ni2 Hg2'
_space_group_name_H-M_alt 'P m m n'
_space_group_IT_number 59
_cell_length_a 4.640
_cell_length_b 6.612
_cell_length_c 8.085
_cell_angle_alpha 90.00
_cell_angle_beta 90.00
_cell_angle_gamma 90.00
loop_
_space_group_symop_operation_xyz
'x,y,z'
'-x,-y,-z'
'-x+1/2,-y+1/2,z'
'x+1/2,y+1/2,-z'
'x+1/2,-y,-z'
'-x+1/2,y,z'
'-x,y+1/2,-z'
'x,-y+1/2,z'
loop_
_atom_site_label
_atom_site_fract_x
_atom_site_fract_y
_atom_site_fract_z
_atom_site_occupancy
Tm1 0.250 0.002 0.155 1
Tm2 0.250 0.750 0.562 1
Ni1 0.250 0.750 0.890 1
Hg1 0.250 0.250 0.684 1
```

Principal peaks in the range 2θ from 5° to 70°, by angle:
| d/Å | two_theta | I_rel | (hkl) |
| --- | --- | --- | --- |
| 3.060 | 29.2 | 35 | 0 2 1 |
| 3.048 | 29.3 | 64 | 1 0 2 |
| 2.768 | 32.3 | 27 | 1 1 2 |
| 2.555 | 35.1 | 100 | 1 2 1 |
| 2.320 | 38.8 | 34 | 2 0 0 |
| 2.198 | 41.1 | 16 | 1 1 3 |
| 2.089 | 43.3 | 15 | 0 2 3 |
| 1.849 | 49.3 | 17 | 2 2 1 |
| 1.453 | 64.1 | 16 | 1 4 2 |
| 1.380 | 67.9 | 14 | 3 2 1 |


For Pm7Pr2Dy3, DFT lattice parameters and positions (GGA-PBE) gives the calculated X-ray powder pattern in this record (a wavelength of 1.5418 Å).

```
data_Pm7Pr2Dy3
_chemical_formula_sum 'Pm7 Pr2 Dy3'
_space_group_name_H-M_alt 'P 1 2/m 1'
_space_group_IT_number 10
_space_group_name_Hall '-P 2y'
_cell_length_a 6.474
_cell_length_b 3.582
_cell_length_c 17.761
_cell_angle_alpha 90.00
_cell_angle_beta 96.00
_cell_angle_gamma 90.00
loop_
_atom_site_label
_atom_site_fract_x
_atom_site_fract_y
_atom_site_fract_z
_atom_site_occupancy
Pm1 0.000 0.000 0.000 1
Pm2 0.228 0.500 0.169 1
Pm3 0.258 0.500 0.497 1
Pm4 0.277 0.000 0.836 1
Pr1 0.058 0.500 0.671 1
Dy1 0.454 0.000 0.341 1
Dy2 0.500 0.500 0.000 1
```

Principal peaks in the range 2θ from 5° to 70°, by angle:
| d/Å | two_theta | I_rel | (hkl) |
| --- | --- | --- | --- |
| 3.056 | 29.2 | 59 | 1 1 1 |
| 2.958 | 30.2 | 82 | 2 0 -3 |
| 2.944 | 30.4 | 96 | 0 0 6 |
| 2.904 | 30.8 | 100 | 1 1 2 |
| 2.708 | 33.1 | 68 | 2 0 3 |
| 2.617 | 34.3 | 82 | 1 1 -4 |
| 1.848 | 49.3 | 38 | 3 1 -1 |
| 1.791 | 51.0 | 26 | 0 2 0 |
| 1.761 | 51.9 | 37 | 2 0 -9 |
| 1.530 | 60.5 | 27 | 0 2 6 |


For Tb2DyRh, DFT lattice parameters and positions (GGA-PBE) gives the calculated X-ray powder pattern in this record (a wavelength of 1.5418 Å).

```
data_Tb2DyRh
_chemical_formula_sum 'Tb8 Dy4 Rh4'
_space_group_name_H-M_alt 'C m c m'
_space_group_IT_number 63
_space_group_name_Hall '-C 2c 2'
_cell_length_a 3.818
_cell_length_b 11.849
_cell_length_c 9.501
_cell_angle_alpha 90.00
_cell_angle_beta 90.00
_cell_angle_gamma 90.00
loop_
_atom_site_label
_atom_site_fract_x
_atom_site_fract_y
_atom_site_fract_z
_atom_site_occupancy
Tb1 0.000 0.138 0.067 1
Dy1 0.000 0.422 0.250 1
Rh1 0.000 0.258 0.750 1
```

Principal peaks in the range 2θ from 5° to 70°, by angle:
| d/Å | two_theta | I_rel | (hkl) |
| --- | --- | --- | --- |
| 2.886 | 31.0 | 93 | 1 1 2 |
| 2.828 | 31.6 | 25 | 0 4 1 |
| 2.793 | 32.0 | 94 | 0 2 3 |
| 2.745 | 32.6 | 38 | 1 3 0 |
| 2.637 | 34.0 | 100 | 1 3 1 |
| 2.388 | 37.7 | 47 | 1 1 3 |
| 2.376 | 37.9 | 31 | 0 0 4 |
| 1.909 | 47.6 | 30 | 2 0 0 |
| 1.576 | 58.6 | 34 | 2 2 3 |
| 1.562 | 59.1 | 30 | 1 3 5 |